Entry 1:
Structure and computed X-ray diffraction stick pattern of LiNd2Pd2 (the PBE geometry in Alexandria; Cu Kα (weighted mean of Kα1 and Kα2)).
Peak positions follow from Bragg's law for the DFT cell and can differ from measured ones.

The 10 most intense peaks (2θ from 5° to 70°), low angle first:
2theta  intensity  hkl
16.0  31.3  1 1 0
22.8  13.4  2 0 0
34.3  100.0  2 1 1
36.3  21.2  3 1 0
46.2  10.1  0 0 2
48.0  9.5  4 1 0
49.5  11.1  3 3 0
53.7  12.3  4 1 1
60.1  9.7  3 1 2
69.0  14.1  5 2 1

Structure:
Cell: 7.816 7.816 3.933 Å, 90.00 90.00 90.00°
Space group P4/mbm (No. 127)
One atom of each set of equivalent atoms:
1 Li 0.000 0.000 0.000
2 Nd 0.168 0.332 0.500
3 Pd 0.132 0.632 0.000

***

Entry 2:
Structure and computed X-ray diffraction stick pattern of LiPmNdS3 (the PBE geometry in Alexandria; Cu Kα (weighted mean of Kα1 and Kα2)).
Peak positions follow from Bragg's law for the DFT cell and can differ from measured ones.

The 10 most intense peaks (2θ from 5° to 70°), low angle first:
2theta  intensity  hkl
10.6  45.9  0 0 1
21.3  38.0  0 0 2
21.8  23.0  2 0 0
22.3  25.1  2 0 -1
25.2  56.5  0 1 1
31.8  63.3  2 1 0
32.1  100.0  0 0 3
41.1  36.4  2 1 2
42.4  30.7  2 1 -3
43.6  20.1  4 0 -1

Structure:
Cell: 8.311 3.901 8.522 Å, 90.00 101.57 90.00°
Space group P2_1/m (No. 11)
One atom of each set of equivalent atoms:
1 Li 0.086 0.250 0.084
2 Pm 0.341 0.750 0.330
3 Nd 0.180 0.250 0.718
4 S 0.096 0.250 0.366
5 S 0.206 0.750 0.992
6 S 0.418 0.750 0.672